For MgInNi2, DFT lattice parameters and positions (GGA-PBE) gives the computed PXRD pattern in this record (Cu Ka).

Largest 6 diffraction maxima, in order of rising 2θ, 2θ from 15° to 90°:
| Position (°2θ) | I_rel | (hkl) |
| --- | --- | --- |
| 25.0 | 28 | 1 1 1 |
| 41.3 | 100 | 2 2 0 |
| 48.9 | 14 | 3 1 1 |
| 59.9 | 16 | 4 0 0 |
| 75.4 | 31 | 4 2 2 |
| 89.8 | 10 | 4 4 0 |

Structural model:
a b c (Å): 6.179 6.179 6.179
angles (deg): 90.00 90.00 90.00
Space group Fm-3m (No. 225)
Inequivalent atoms, fractional coordinates:
Mg  0.000  0.000  0.000 [4 per cell]
In  0.000  0.000  0.500 [4 per cell]
Ni  0.250  0.250  0.250 [8 per cell]